Diffraction record for InH4Pd12. The powder XRD pattern is theoretical, not measured: it uses the PBE geometry in Alexandria and copper Kα.
Neutral-atom scattering factors, no anomalous dispersion.

Main lines, in order of rising 2θ (10° ≤ 2θ ≤ 90°):
2θ/deg	Rel. int.
33.20	13
37.26	100
40.96	37
44.41	73
47.66	9
56.56	4
59.32	7
62.00	11
72.17	34
74.61	11
77.02	32
86.49	11

Structural model:
Cell: 6.6095 6.6095 6.6095 Å, 109.47 109.47 109.47°
Sites, in units of the cell vectors:
In 0.0000 0.0000 0.0000
H 0.0000 0.0000 0.5000
H 0.0000 0.5000 0.0000
H 0.5000 0.0000 0.0000
H 0.5000 0.5000 0.5000
Pd 0.1254 0.3114 0.8139
Pd 0.1861 0.4975 0.3114
Pd 0.1861 0.8746 0.6886
Pd 0.3114 0.1861 0.4975
Pd 0.3114 0.8139 0.1254
Pd 0.4975 0.3114 0.1861
Pd 0.5025 0.6886 0.8139
Pd 0.6886 0.1861 0.8746
Pd 0.6886 0.8139 0.5025
Pd 0.8139 0.1254 0.3114
Pd 0.8139 0.5025 0.6886
Pd 0.8746 0.6886 0.1861

---

Diffraction record for CaLaAl. The powder XRD pattern is theoretical, not measured: it uses the PBE geometry in Alexandria and copper Kα.
Neutral-atom scattering factors, no anomalous dispersion.

Main lines, in order of rising 2θ (10° ≤ 2θ ≤ 90°):
2θ/deg	Rel. int.
12.72	40
21.57	28
23.77	21
25.60	19
31.61	100
32.41	13
34.51	34
40.64	14
45.91	23
54.35	18
60.09	13
68.32	12

Structural model:
Cell: 11.6489 4.4402 7.3342 Å, 90.00 108.44 90.00°
Sites, in units of the cell vectors:
Ca 0.1472 0.0000 0.0730
Ca 0.3528 0.5000 0.9270
Ca 0.6472 0.5000 0.0730
Ca 0.8528 0.0000 0.9270
La 0.1345 0.0000 0.5627
La 0.3655 0.5000 0.4373
La 0.6345 0.5000 0.5627
La 0.8655 0.0000 0.4373
Al 0.0038 0.5000 0.2361
Al 0.4962 0.0000 0.7639
Al 0.5038 0.0000 0.2361
Al 0.9962 0.5000 0.7639

---

Diffraction record for RbPu4Ag3Se12. The powder XRD pattern is theoretical, not measured: it uses the PBE geometry in Alexandria and copper Kα.
Neutral-atom scattering factors, no anomalous dispersion.

Main lines, in order of rising 2θ (10° ≤ 2θ ≤ 90°):
2θ/deg	Rel. int.
17.04	32
24.19	100
27.10	27
32.19	16
34.48	42
38.70	28
42.57	97
49.56	19
51.19	13
55.89	28
67.35	29
77.91	37

Structural model:
Cell: 9.0110 9.0110 9.0110 Å, 109.47 109.47 109.47°
Sites, in units of the cell vectors:
Rb 0.0000 0.0000 0.0000
Pu 0.0000 0.0000 0.5000
Pu 0.0000 0.5000 0.0000
Pu 0.5000 0.0000 0.0000
Pu 0.5000 0.5000 0.5000
Ag 0.0000 0.5000 0.5000
Ag 0.5000 0.0000 0.5000
Ag 0.5000 0.5000 0.0000
Se 0.1418 0.8284 0.3134
Se 0.1716 0.3134 0.4850
Se 0.1716 0.6866 0.8582
Se 0.3134 0.1418 0.8284
Se 0.3134 0.4850 0.1716
Se 0.4850 0.1716 0.3134
Se 0.5150 0.8284 0.6866
Se 0.6866 0.5150 0.8284
Se 0.6866 0.8582 0.1716
Se 0.8284 0.3134 0.1418
Se 0.8284 0.6866 0.5150
Se 0.8582 0.1716 0.6866

---

Diffraction record for HfSc14Al. The powder XRD pattern is theoretical, not measured: it uses the PBE geometry in Alexandria and copper Kα.
Neutral-atom scattering factors, no anomalous dispersion.

Main lines, in order of rising 2θ (10° ≤ 2θ ≤ 90°):
2θ/deg	Rel. int.
14.56	13
17.12	22
23.22	16
30.91	10
34.50	25
34.65	100
35.90	20
36.31	10
36.42	26
47.47	9
52.07	11
64.38	18

Structural model:
Cell: 9.8670 6.3016 6.3016 Å, 74.87 90.00 90.00°
Sites, in units of the cell vectors:
Hf 0.0000 0.0000 0.0000
Sc 0.0000 0.0580 0.4744
Sc 0.0000 0.4744 0.0580
Sc 0.2213 0.7692 0.7692
Sc 0.2393 0.2782 0.6969
Sc 0.2393 0.6969 0.2782
Sc 0.2713 0.2044 0.2044
Sc 0.5000 0.4277 0.4277
Sc 0.5000 0.5061 0.9086
Sc 0.5000 0.9086 0.5061
Sc 0.5000 0.9773 0.9773
Sc 0.7287 0.2044 0.2044
Sc 0.7607 0.2782 0.6969
Sc 0.7607 0.6969 0.2782
Sc 0.7787 0.7692 0.7692
Al 0.0000 0.5451 0.5451

---

Copy entry 3 word for word.
Diffraction record for RbPu4Ag3Se12. The powder XRD pattern is theoretical, not measured: it uses the PBE geometry in Alexandria and copper Kα.
Neutral-atom scattering factors, no anomalous dispersion.

Main lines, in order of rising 2θ (10° ≤ 2θ ≤ 90°):
2θ/deg	Rel. int.
17.04	32
24.19	100
27.10	27
32.19	16
34.48	42
38.70	28
42.57	97
49.56	19
51.19	13
55.89	28
67.35	29
77.91	37

Structural model:
Cell: 9.0110 9.0110 9.0110 Å, 109.47 109.47 109.47°
Sites, in units of the cell vectors:
Rb 0.0000 0.0000 0.0000
Pu 0.0000 0.0000 0.5000
Pu 0.0000 0.5000 0.0000
Pu 0.5000 0.0000 0.0000
Pu 0.5000 0.5000 0.5000
Ag 0.0000 0.5000 0.5000
Ag 0.5000 0.0000 0.5000
Ag 0.5000 0.5000 0.0000
Se 0.1418 0.8284 0.3134
Se 0.1716 0.3134 0.4850
Se 0.1716 0.6866 0.8582
Se 0.3134 0.1418 0.8284
Se 0.3134 0.4850 0.1716
Se 0.4850 0.1716 0.3134
Se 0.5150 0.8284 0.6866
Se 0.6866 0.5150 0.8284
Se 0.6866 0.8582 0.1716
Se 0.8284 0.3134 0.1418
Se 0.8284 0.6866 0.5150
Se 0.8582 0.1716 0.6866

---

What is the formula in the first record?
InH4Pd12